Calculated powder X-ray diffraction pattern
Compound: LuNbBi2Ir2
Radiation: Cu Kα (λ = 1.5418 Å)
Structure: a structure optimized by DFT (PBE)

Atomic structure:
```
LuNbBi2Ir2
1.0
4.593 0.000 0.000
0.000 9.140 0.000
0.000 0.000 6.474
Lu Nb Bi Ir
2 2 4 4
Direct
0.000 0.126 0.000
0.500 0.874 0.500
0.000 0.622 0.018
0.500 0.378 0.518
0.000 0.122 0.494
0.000 0.629 0.527
0.500 0.371 0.027
0.500 0.878 0.994
0.000 0.388 0.277
0.000 0.857 0.239
0.500 0.143 0.739
0.500 0.612 0.777
```

Main lines, sorted by position (10 to 90 degrees two-theta):
hkl 0 2 1, 2θ 23.79, I 43
hkl 1 2 0, 2θ 27.54, I 14
hkl 2 0 0, 2θ 39.23, I 21
hkl 1 2 2, 2θ 39.37, I 100
hkl 2 2 1, 2θ 46.45, I 12
hkl 1 4 1, 2θ 46.55, I 9
hkl 2 4 0, 2θ 56.86, I 20
hkl 1 4 3, 2θ 62.59, I 4
hkl 3 2 2, 2θ 71.18, I 14
hkl 2 0 4, 2θ 71.28, I 6
hkl 1 6 2, 2θ 71.45, I 19
hkl 2 4 4, 2θ 84.65, I 8